For Sm2PdRh, the GGA-PBE geometry in the Materials Project gives the computed powder diffraction line list in this record (Cu Kα).

Most intense lines, 2θ = 15–90°, in order of falling intensity:
2.509 Å, 35.80°, I 100.0
1.448 Å, 64.32°, I 35.8
1.774 Å, 51.52°, I 17.6
1.122 Å, 86.82°, I 15.9
1.254 Å, 75.85°, I 11.0
3.548 Å, 25.10°, I 3.3

Atomic structure:
a b c (Å): 5.017 5.017 5.017
angles (deg): 60.00 60.00 60.00
Atoms (fractional coordinates):
Sm1 0.250 0.250 0.250
Sm2 0.750 0.750 0.750
Pd1 0.000 0.000 0.000
Rh1 0.500 0.500 0.500